Entry 1:
For YCo3Se2ClO8, a DFT-relaxed cell (PBE+U, the Materials Project) gives the simulated powder diffractogram in this record (Cu Kα, 1.54184 Å).
No peak broadening, texture or thermal motion is included.

Unit cell a=6.405 b=9.660 c=7.232 alpha=90.00 beta=90.00 gamma=90.00
Space group Pmmn (No. 59, origin choice 2)
Unique sites:
Y: 0.250 0.250 0.237 [2 per cell]
Co: 0.000 0.000 0.500 [4 per cell]
Co: 0.250 0.250 0.706 [2 per cell]
Se: 0.250 0.561 0.910 [4 per cell]
Cl: 0.250 0.750 0.361 [2 per cell]
O: 0.039 0.589 0.764 [8 per cell]
O: 0.250 0.114 0.500 [4 per cell]
O: 0.250 0.119 0.924 [4 per cell]

Largest 6 diffraction maxima, by intensity, 2θ from 10° to 90°:
d = 2.895 Å, 30.89°, intensity 100; d = 2.504 Å, 35.86°, intensity 92; d = 2.671 Å, 33.55°, intensity 78; d = 3.403 Å, 26.19°, intensity 57; d = 2.877 Å, 31.09°, intensity 54; d = 2.928 Å, 30.53°, intensity 54


Entry 2:
For Sr8Co6Cl4O15, a DFT-relaxed cell (PBE+U, the Materials Project) gives the simulated powder diffractogram in this record (Cu Kα, 1.54184 Å).
No peak broadening, texture or thermal motion is included.

Unit cell a=5.529 b=31.687 c=5.529 alpha=90.00 beta=90.36 gamma=90.00
Space group C2/m (No. 12)
Unique sites:
Sr: 0.243 0.064 0.243 [8 per cell]
Sr: 0.249 0.179 0.249 [8 per cell]
Co: 0.237 0.000 0.763 [4 per cell]
Co: 0.247 0.380 0.253 [8 per cell]
Cl: 0.250 0.216 0.750 [8 per cell]
O: 0.000 0.000 0.000 [2 per cell]
O: 0.000 0.000 0.500 [2 per cell]
O: 0.000 0.125 0.000 [4 per cell]
O: 0.000 0.128 0.500 [4 per cell]
O: 0.000 0.371 0.500 [4 per cell]
O: 0.000 0.372 0.000 [4 per cell]
O: 0.000 0.500 0.000 [2 per cell]
O: 0.227 0.442 0.273 [8 per cell]

Largest 6 diffraction maxima, by intensity, 2θ from 10° to 90°:
d = 2.616 Å, 34.27°, intensity 100; d = 2.765 Å, 32.38°, intensity 72; d = 2.267 Å, 39.76°, intensity 22; d = 1.961 Å, 46.30°, intensity 22; d = 1.949 Å, 46.61°, intensity 22; d = 1.564 Å, 59.08°, intensity 20


Entry 3:
For Sr3Co2Cl2O5, a DFT-relaxed cell (PBE+U, the Materials Project) gives the simulated powder diffractogram in this record (Cu Kα, 1.54184 Å).
No peak broadening, texture or thermal motion is included.

Unit cell a=3.961 b=3.961 c=24.154 alpha=90.00 beta=90.00 gamma=90.00
Space group I4/mmm (No. 139)
Unique sites:
Sr: 0.000 0.000 0.000 [2 per cell]
Sr: 0.000 0.000 0.153 [4 per cell]
Co: 0.000 0.000 0.423 [4 per cell]
Cl: 0.000 0.000 0.299 [4 per cell]
O: 0.000 0.000 0.500 [2 per cell]
O: 0.000 0.500 0.086 [8 per cell]

Largest 6 diffraction maxima, by intensity, 2θ from 10° to 90°:
d = 2.602 Å, 34.47°, intensity 100; d = 2.801 Å, 31.95°, intensity 61; d = 1.576 Å, 58.57°, intensity 41; d = 1.981 Å, 45.81°, intensity 37; d = 2.299 Å, 39.18°, intensity 20; d = 1.400 Å, 66.80°, intensity 11